Tl3Zn2HgF9: computed powder XRD pattern (CuKα), based on a crystal structure in Alexandria, relaxed with GGA-PBE.
Peak positions follow from Bragg's law for the DFT cell and can differ from measured ones.

Most intense lines, 5 to 70 degrees two-theta, in order of rising 2θ:
two_theta  I_rel
20.5  16
29.0  100
29.4  95
36.1  15
41.8  60
51.3  21
51.9  41
52.1  20
60.2  19
60.9  19
68.3  18
68.9  18

a = 6.0840 Å, b = 6.0840 Å, c = 7.5763 Å
α = 90.00°, β = 90.00°, γ = 120.00°
Element x y z (fractional)
Tl  0.0000  0.0000  0.0000
Tl  0.3333  0.6667  0.6729
Tl  0.6667  0.3333  0.3271
Zn  0.3333  0.6667  0.1526
Zn  0.6667  0.3333  0.8474
Hg  0.0000  0.0000  0.5000
F  0.0000  0.5000  0.0000
F  0.1755  0.3509  0.3125
F  0.1755  0.8245  0.3125
F  0.3509  0.1755  0.6875
F  0.5000  0.0000  0.0000
F  0.5000  0.5000  0.0000
F  0.6491  0.8245  0.3125
F  0.8245  0.1755  0.6875
F  0.8245  0.6491  0.6875